# ZrZnRuRh
Theoretical powder diffraction line list, copper Kα. Input: a GGA-PBE-relaxed structure.
Intensities are scaled so that the largest is 100.

Structure:
Cell: 3.3853 4.2836 4.3177 Å, 90.00 90.00 90.00°
Fractional positions:
Zr 0.0000 0.0000 0.0000
Zn 0.0000 0.5000 0.5000
Ru 0.5000 0.5000 0.0000
Rh 0.5000 0.0000 0.5000

Most intense lines, 2θ = 15–90°, by intensity:
d = 2.262 Å, 2θ = 39.8°, I = 100
d = 2.159 Å, 2θ = 41.8°, I = 22
d = 2.142 Å, 2θ = 42.2°, I = 21
d = 1.265 Å, 2θ = 75.1°, I = 15
d = 1.258 Å, 2θ = 75.6°, I = 14
d = 1.520 Å, 2θ = 60.9°, I = 14
d = 1.131 Å, 2θ = 85.9°, I = 10
d = 1.693 Å, 2θ = 54.2°, I = 10